Record 1
For NdThSiS, DFT lattice parameters and positions (GGA-PBE) gives the theoretical powder diffractogram in this record (Cu Kα).
No peak broadening, texture or thermal motion is included.

Cell and atoms:
```
data_NdThSiS
_chemical_formula_sum 'Nd3 Th3 Si3 S3'
_cell_length_a 4.2071
_cell_length_b 4.2071
_cell_length_c 20.2526
_cell_angle_alpha 90.00
_cell_angle_beta 90.00
_cell_angle_gamma 120.00
_space_group_name_H-M_alt 'R 3 m'
_space_group_IT_number 160
_space_group_name_Hall 'R 3 -2"'
loop_
_atom_site_label
_atom_site_type_symbol
_atom_site_fract_x
_atom_site_fract_y
_atom_site_fract_z
Nd1 Nd 0.0000 0.0000 0.0000
Th1 Th 0.0000 0.0000 0.5013
Si1 Si 0.0000 0.0000 0.2493
S1 S 0.0000 0.0000 0.7520
```

Largest 6 diffraction maxima, most intense first, 2θ from 15° to 90°:
2θ/deg, d_spacing, I_rel
30.2, 2.957, 100
26.0, 3.428, 72
43.0, 2.104, 38
43.5, 2.079, 37
51.2, 1.785, 24
26.4, 3.375, 23



Record 2
For HfNi7As2, DFT lattice parameters and positions (GGA-PBE) gives the theoretical powder diffractogram in this record (Cu Kα).
No peak broadening, texture or thermal motion is included.

Cell and atoms:
```
data_HfNi7As2
_chemical_formula_sum 'Hf2 Ni14 As4'
_cell_length_a 3.7871
_cell_length_b 3.7871
_cell_length_c 18.6978
_cell_angle_alpha 90.00
_cell_angle_beta 90.00
_cell_angle_gamma 90.00
_space_group_name_H-M_alt 'I 4/m m m'
_space_group_IT_number 139
_space_group_name_Hall '-I 4 2'
loop_
_atom_site_label
_atom_site_type_symbol
_atom_site_fract_x
_atom_site_fract_y
_atom_site_fract_z
Hf1 Hf 0.0000 0.0000 0.0000
Ni1 Ni 0.0000 0.0000 0.5000
Ni2 Ni 0.0000 0.5000 0.0989
Ni3 Ni 0.0000 0.5000 0.2500
As1 As 0.0000 0.0000 0.3252
```

Largest 6 diffraction maxima, most intense first, 2θ from 15° to 90°:
2θ/deg, d_spacing, I_rel
44.6, 2.031, 100
27.6, 3.236, 48
48.0, 1.894, 46
87.2, 1.118, 27
38.8, 2.324, 20
34.9, 2.574, 14



Record 3
For Sc4As, DFT lattice parameters and positions (GGA-PBE) gives the theoretical powder diffractogram in this record (Cu Kα).
No peak broadening, texture or thermal motion is included.

Cell and atoms:
```
data_Sc4As
_chemical_formula_sum 'Sc4 As1'
_cell_length_a 5.0934
_cell_length_b 5.0934
_cell_length_c 5.0934
_cell_angle_alpha 90.00
_cell_angle_beta 90.00
_cell_angle_gamma 90.00
_space_group_name_H-M_alt 'P m -3 m'
_space_group_IT_number 221
_space_group_name_Hall '-P 4 2 3'
loop_
_atom_site_label
_atom_site_type_symbol
_atom_site_fract_x
_atom_site_fract_y
_atom_site_fract_z
Sc1 Sc 0.0000 0.0000 0.0000
Sc2 Sc 0.0000 0.5000 0.5000
As1 As 0.5000 0.5000 0.5000
```

Largest 6 diffraction maxima, most intense first, 2θ from 15° to 90°:
2θ/deg, d_spacing, I_rel
35.2, 2.547, 100
50.7, 1.801, 66
17.4, 5.093, 54
24.7, 3.602, 46
30.4, 2.941, 32
85.2, 1.139, 27



Record 4
For AcLa2Pt9, DFT lattice parameters and positions (GGA-PBE) gives the theoretical powder diffractogram in this record (Cu Kα).
No peak broadening, texture or thermal motion is included.

Cell and atoms:
```
data_AcLa2Pt9
_chemical_formula_sum 'Ac3 La6 Pt27'
_cell_length_a 5.5342
_cell_length_b 5.5342
_cell_length_c 27.0127
_cell_angle_alpha 90.00
_cell_angle_beta 90.00
_cell_angle_gamma 120.00
_space_group_name_H-M_alt 'R -3 m'
_space_group_IT_number 166
_space_group_name_Hall '-R 3 2"'
loop_
_atom_site_label
_atom_site_type_symbol
_atom_site_fract_x
_atom_site_fract_y
_atom_site_fract_z
Ac1 Ac 0.0000 0.0000 0.0000
La1 La 0.0000 0.0000 0.1400
Pt1 Pt 0.0000 0.0000 0.3324
Pt2 Pt 0.0000 0.0000 0.5000
Pt3 Pt 0.0031 0.5016 0.9154
```

Largest 6 diffraction maxima, most intense first, 2θ from 15° to 90°:
2θ/deg, d_spacing, I_rel
38.2, 2.358, 100
41.2, 2.189, 45
32.4, 2.764, 31
37.7, 2.387, 26
40.1, 2.251, 24
67.7, 1.384, 23



Record 5
For Na2B3C, DFT lattice parameters and positions (GGA-PBE) gives the theoretical powder diffractogram in this record (Cu Kα).
No peak broadening, texture or thermal motion is included.

Cell and atoms:
```
data_Na2B3C
_chemical_formula_sum 'Na20 B30 C10'
_cell_length_a 8.5739
_cell_length_b 2.8792
_cell_length_c 25.6661
_cell_angle_alpha 90.00
_cell_angle_beta 90.00
_cell_angle_gamma 90.00
_space_group_name_H-M_alt 'A m m 2'
_space_group_IT_number 38
_space_group_name_Hall 'A 2 -2'
loop_
_atom_site_label
_atom_site_type_symbol
_atom_site_fract_x
_atom_site_fract_y
_atom_site_fract_z
Na1 Na 0.2423 0.0000 0.0000
Na2 Na 0.2484 0.0000 0.6011
Na3 Na 0.2493 0.0000 0.2010
Na4 Na 0.2488 0.0000 0.3997
Na5 Na 0.2501 0.0000 0.8003
B1 B 0.0000 0.0000 0.0742
B2 B 0.0000 0.0000 0.2669
B3 B 0.0000 0.0000 0.4610
B4 B 0.0000 0.0000 0.5336
B5 B 0.0000 0.0000 0.6702
B6 B 0.0000 0.0000 0.8635
B7 B 0.5000 0.0000 0.0662
B8 B 0.5000 0.0000 0.1309
B9 B 0.5000 0.0000 0.2670
B10 B 0.5000 0.0000 0.3354
B11 B 0.5000 0.0000 0.5261
B12 B 0.5000 0.0000 0.6695
B13 B 0.5000 0.0000 0.7359
B14 B 0.5000 0.0000 0.8687
B15 B 0.5000 0.0000 0.9366
C1 C 0.0000 0.0000 0.1378
C2 C 0.0000 0.0000 0.3319
C3 C 0.0000 0.0000 0.7349
C4 C 0.0000 0.0000 0.9292
C5 C 0.5000 0.0000 0.4659
```

Largest 6 diffraction maxima, most intense first, 2θ from 15° to 90°:
2θ/deg, d_spacing, I_rel
41.7, 2.167, 100
41.0, 2.202, 51
42.2, 2.143, 37
35.8, 2.511, 18
63.2, 1.471, 18
78.9, 1.213, 17



Record 6
For Sm2Dy5Bi4, DFT lattice parameters and positions (GGA-PBE) gives the theoretical powder diffractogram in this record (Cu Kα).
No peak broadening, texture or thermal motion is included.

Cell and atoms:
```
data_Sm2Dy5Bi4
_chemical_formula_sum 'Sm4 Dy10 Bi8'
_cell_length_a 17.9272
_cell_length_b 4.4866
_cell_length_c 10.5095
_cell_angle_alpha 90.00
_cell_angle_beta 124.09
_cell_angle_gamma 90.00
_space_group_name_H-M_alt 'C 1 2/m 1'
_space_group_IT_number 12
_space_group_name_Hall '-C 2y'
loop_
_atom_site_label
_atom_site_type_symbol
_atom_site_fract_x
_atom_site_fract_y
_atom_site_fract_z
Sm1 Sm 0.1351 0.0000 0.3238
Dy1 Dy 0.0000 0.5000 0.0000
Dy2 Dy 0.0433 0.5000 0.7074
Dy3 Dy 0.2439 0.0000 0.8338
Bi1 Bi 0.1098 0.0000 0.9559
Bi2 Bi 0.1600 0.5000 0.5703
```

Largest 6 diffraction maxima, most intense first, 2θ from 15° to 90°:
2θ/deg, d_spacing, I_rel
31.6, 2.835, 100
32.2, 2.777, 81
32.4, 2.760, 77
26.7, 3.339, 59
40.2, 2.243, 59
35.0, 2.567, 56



Record 7
For La4SmSe6, DFT lattice parameters and positions (GGA-PBE) gives the theoretical powder diffractogram in this record (Cu Kα).
No peak broadening, texture or thermal motion is included.

Cell and atoms:
```
data_La4SmSe6
_chemical_formula_sum 'La24 Sm6 Se36'
_cell_length_a 12.0705
_cell_length_b 12.0705
_cell_length_c 14.5144
_cell_angle_alpha 90.00
_cell_angle_beta 90.00
_cell_angle_gamma 120.00
_space_group_name_H-M_alt 'R -3 c'
_space_group_IT_number 167
_space_group_name_Hall '-R 3 2"c'
loop_
_atom_site_label
_atom_site_type_symbol
_atom_site_fract_x
_atom_site_fract_y
_atom_site_fract_z
La1 La 0.0000 0.0000 0.2500
La2 La 0.0000 0.3836 0.2500
Sm1 Sm 0.0000 0.0000 0.0000
Se1 Se 0.0293 0.2049 0.3853
```

Largest 6 diffraction maxima, most intense first, 2θ from 15° to 90°:
2θ/deg, d_spacing, I_rel
35.0, 2.560, 100
33.5, 2.673, 98
31.5, 2.843, 93
25.6, 3.484, 79
30.0, 2.981, 69
45.3, 2.001, 52



Record 8
For Pm2PrNdSm5, DFT lattice parameters and positions (GGA-PBE) gives the theoretical powder diffractogram in this record (Cu Kα).
No peak broadening, texture or thermal motion is included.

Cell and atoms:
```
data_Pm2PrNdSm5
_chemical_formula_sum 'Pm8 Pr4 Nd4 Sm20'
_cell_length_a 8.8577
_cell_length_b 8.8577
_cell_length_c 15.8448
_cell_angle_alpha 90.00
_cell_angle_beta 90.00
_cell_angle_gamma 90.00
_space_group_name_H-M_alt 'I 4/m c m'
_space_group_IT_number 140
_space_group_name_Hall '-I 4 2c'
loop_
_atom_site_label
_atom_site_type_symbol
_atom_site_fract_x
_atom_site_fract_y
_atom_site_fract_z
Pm1 Pm 0.1180 0.3820 0.0000
Pr1 Pr 0.0000 0.0000 0.2500
Nd1 Nd 0.0000 0.5000 0.2500
Sm1 Sm 0.0000 0.0000 0.0000
Sm2 Sm 0.2058 0.2942 0.3632
```

Largest 6 diffraction maxima, most intense first, 2θ from 15° to 90°:
2θ/deg, d_spacing, I_rel
30.3, 2.953, 100
28.2, 3.169, 55
28.5, 3.132, 49
42.4, 2.131, 22
51.6, 1.772, 20
37.0, 2.428, 18



Record 9
For Ho7Tm3Cd, DFT lattice parameters and positions (GGA-PBE) gives the theoretical powder diffractogram in this record (Cu Kα).
No peak broadening, texture or thermal motion is included.

Cell and atoms:
```
data_Ho7Tm3Cd
_chemical_formula_sum 'Ho7 Tm3 Cd1'
_cell_length_a 6.8892
_cell_length_b 6.8892
_cell_length_c 8.4409
_cell_angle_alpha 90.00
_cell_angle_beta 90.00
_cell_angle_gamma 120.00
_space_group_name_H-M_alt 'P 3 m 1'
_space_group_IT_number 156
_space_group_name_Hall 'P 3 -2"'
loop_
_atom_site_label
_atom_site_type_symbol
_atom_site_fract_x
_atom_site_fract_y
_atom_site_fract_z
Ho1 Ho 0.0000 0.0000 0.0000
Ho2 Ho 0.0015 0.5008 0.9937
Ho3 Ho 0.3269 0.1634 0.6666
Tm1 Tm 0.1652 0.3304 0.3292
Cd1 Cd 0.3333 0.6667 0.6649
```

Largest 6 diffraction maxima, most intense first, 2θ from 15° to 90°:
2θ/deg, d_spacing, I_rel
31.8, 2.813, 100
36.9, 2.436, 51
63.3, 1.469, 42
53.2, 1.723, 35
87.2, 1.118, 18
66.5, 1.406, 12



Record 10
For Ho4GaPSe2, DFT lattice parameters and positions (GGA-PBE) gives the theoretical powder diffractogram in this record (Cu Kα).
No peak broadening, texture or thermal motion is included.

Cell and atoms:
```
data_Ho4GaPSe2
_chemical_formula_sum 'Ho4 Ga1 P1 Se2'
_cell_length_a 7.0863
_cell_length_b 3.9909
_cell_length_c 7.1279
_cell_angle_alpha 90.00
_cell_angle_beta 108.67
_cell_angle_gamma 90.00
_space_group_name_H-M_alt 'P 1 2/m 1'
_space_group_IT_number 10
_space_group_name_Hall '-P 2y'
loop_
_atom_site_label
_atom_site_type_symbol
_atom_site_fract_x
_atom_site_fract_y
_atom_site_fract_z
Ho1 Ho 0.2415 0.0000 0.2317
Ho2 Ho 0.2489 0.5000 0.7586
Ga1 Ga 0.5000 0.0000 0.0000
P1 P 0.0000 0.5000 0.0000
Se1 Se 0.0000 0.0000 0.5000
Se2 Se 0.5000 0.5000 0.5000
```

Largest 6 diffraction maxima, most intense first, 2θ from 15° to 90°:
2θ/deg, d_spacing, I_rel
31.1, 2.875, 100
31.0, 2.887, 51
44.6, 2.033, 37
44.4, 2.041, 36
27.2, 3.283, 25
56.0, 1.642, 19



Record 11
For Sc6Ga2Au, DFT lattice parameters and positions (GGA-PBE) gives the theoretical powder diffractogram in this record (Cu Kα).
No peak broadening, texture or thermal motion is included.

Cell and atoms:
```
data_Sc6Ga2Au
_chemical_formula_sum 'Sc12 Ga4 Au2'
_cell_length_a 9.1374
_cell_length_b 9.1374
_cell_length_c 4.5832
_cell_angle_alpha 90.00
_cell_angle_beta 90.00
_cell_angle_gamma 90.00
_space_group_name_H-M_alt 'P 42/m n m'
_space_group_IT_number 136
_space_group_name_Hall '-P 4n 2n'
loop_
_atom_site_label
_atom_site_type_symbol
_atom_site_fract_x
_atom_site_fract_y
_atom_site_fract_z
Sc1 Sc 0.0266 0.3173 0.0000
Sc2 Sc 0.1271 0.8729 0.5000
Ga1 Ga 0.2100 0.2100 0.5000
Au1 Au 0.0000 0.0000 0.0000
```

Largest 6 diffraction maxima, most intense first, 2θ from 15° to 90°:
2θ/deg, d_spacing, I_rel
35.4, 2.537, 100
21.7, 4.097, 25
39.3, 2.292, 23
41.9, 2.154, 22
29.3, 3.050, 20
36.8, 2.444, 20



Record 12
For CsI3Br6, DFT lattice parameters and positions (GGA-PBE) gives the theoretical powder diffractogram in this record (Cu Kα).
No peak broadening, texture or thermal motion is included.

Cell and atoms:
```
data_CsI3Br6
_chemical_formula_sum 'Cs3 I9 Br18'
_cell_length_a 18.7849
_cell_length_b 18.7849
_cell_length_c 5.6003
_cell_angle_alpha 90.00
_cell_angle_beta 90.00
_cell_angle_gamma 120.00
_space_group_name_H-M_alt 'R 3 m'
_space_group_IT_number 160
_space_group_name_Hall 'R 3 -2"'
loop_
_atom_site_label
_atom_site_type_symbol
_atom_site_fract_x
_atom_site_fract_y
_atom_site_fract_z
Cs1 Cs 0.0000 0.0000 0.0000
I1 I 0.0262 0.5131 0.4255
Br1 Br 0.0805 0.1610 0.5114
Br2 Br 0.2220 0.1110 0.3376
```

Largest 6 diffraction maxima, most intense first, 2θ from 15° to 90°:
2θ/deg, d_spacing, I_rel
21.5, 4.140, 100
18.9, 4.696, 50
19.2, 4.613, 41
31.8, 2.813, 36
33.2, 2.695, 27
38.3, 2.348, 21



Record 13
For ZnHg3Ru, DFT lattice parameters and positions (GGA-PBE) gives the theoretical powder diffractogram in this record (Cu Kα).
No peak broadening, texture or thermal motion is included.

Cell and atoms:
```
data_ZnHg3Ru
_chemical_formula_sum 'Zn1 Hg3 Ru1'
_cell_length_a 5.2924
_cell_length_b 5.2924
_cell_length_c 5.2924
_cell_angle_alpha 90.00
_cell_angle_beta 90.00
_cell_angle_gamma 90.00
_space_group_name_H-M_alt 'P m -3 m'
_space_group_IT_number 221
_space_group_name_Hall '-P 4 2 3'
loop_
_atom_site_label
_atom_site_type_symbol
_atom_site_fract_x
_atom_site_fract_y
_atom_site_fract_z
Zn1 Zn 0.0000 0.0000 0.0000
Hg1 Hg 0.0000 0.5000 0.5000
Ru1 Ru 0.5000 0.5000 0.5000
```

Largest 6 diffraction maxima, most intense first, 2θ from 15° to 90°:
2θ/deg, d_spacing, I_rel
29.2, 3.056, 100
33.9, 2.646, 96
48.7, 1.871, 70
16.8, 5.292, 47
57.8, 1.596, 46
81.3, 1.183, 32